[1]
The following is a calculated powder diffractogram of S2I2O11. It was derived from a structure optimized by DFT (GGA-PBE), using λ = 1.5418 Å (Cu Kα).

The 8 most intense peaks (2θ from 15° to 90°), in order of rising 2θ:
2θ = 16.44°, intensity 60, (0 0 2)
2θ = 20.46°, intensity 100, (0 1 1)
2θ = 20.82°, intensity 31, (4 0 1)
2θ = 21.02°, intensity 57, (2 1 0)
2θ = 30.01°, intensity 39, (6 0 1)
2θ = 31.47°, intensity 40, (4 0 3)
2θ = 31.66°, intensity 21, (4 1 2)
2θ = 43.24°, intensity 31, (4 1 4)

Structure:
```
S2I2O11
1.0
18.588 0.000 0.000
0.000 4.743 0.000
0.000 0.000 10.782
S I O
8 8 44
Direct
0.098 0.030 0.000
0.153 0.017 0.752
0.347 0.517 0.252
0.402 0.530 0.500
0.598 0.470 0.000
0.653 0.483 0.752
0.847 0.983 0.252
0.902 0.970 0.500
0.048 0.787 0.317
0.199 0.686 0.434
0.301 0.186 0.934
0.452 0.287 0.817
0.548 0.713 0.317
0.699 0.814 0.434
0.801 0.314 0.934
0.952 0.213 0.817
0.046 0.160 0.313
0.048 0.250 0.948
0.061 0.816 0.072
0.092 0.156 0.698
0.093 0.719 0.478
0.124 0.846 0.877
0.154 0.731 0.272
0.160 0.160 0.054
0.187 0.793 0.682
0.205 0.315 0.450
0.206 0.230 0.802
0.294 0.730 0.302
0.295 0.815 0.950
0.313 0.293 0.182
0.340 0.660 0.554
0.346 0.231 0.772
0.376 0.346 0.377
0.407 0.219 0.978
0.408 0.656 0.198
0.439 0.316 0.572
0.452 0.750 0.448
0.454 0.660 0.813
0.546 0.340 0.313
0.548 0.250 0.948
0.561 0.684 0.072
0.592 0.344 0.698
0.593 0.781 0.478
0.624 0.654 0.877
0.654 0.769 0.272
0.660 0.340 0.054
0.687 0.707 0.682
0.705 0.185 0.450
0.706 0.270 0.802
0.794 0.770 0.302
0.795 0.685 0.950
0.813 0.207 0.182
0.840 0.840 0.554
0.846 0.269 0.772
0.876 0.154 0.377
0.907 0.281 0.978
0.908 0.844 0.198
0.939 0.184 0.572
0.952 0.750 0.448
0.954 0.840 0.813
```

[2]
The following is a calculated powder diffractogram of S4I2O15. It was derived from a structure optimized by DFT (GGA-PBE), using λ = 1.5418 Å (Cu Kα).

The 8 most intense peaks (2θ from 15° to 90°), in order of rising 2θ:
2θ = 15.69°, intensity 20, (0 1 -1)
2θ = 17.83°, intensity 25, (0 1 1)
2θ = 20.23°, intensity 100, (1 0 1)
2θ = 24.37°, intensity 41, (1 0 -2)
2θ = 27.65°, intensity 36, (0 2 0)
2θ = 28.21°, intensity 17, (1 -2 1)
2θ = 29.17°, intensity 19, (0 0 3)
2θ = 39.90°, intensity 18, (1 2 1)

Structure:
```
S4I2O15
1.0
5.605 0.000 0.000
-2.216 6.512 0.000
-0.558 -1.246 9.185
S I O
4 2 15
Direct
0.000 0.000 0.000
0.165 0.541 0.626
0.574 0.046 0.412
0.816 0.565 0.053
0.297 0.024 0.720
0.502 0.568 0.332
0.058 0.069 0.152
0.062 0.553 0.035
0.168 0.546 0.462
0.238 0.967 0.938
0.289 0.402 0.677
0.337 0.034 0.489
0.379 0.766 0.698
0.470 0.836 0.291
0.586 0.402 0.999
0.616 0.209 0.319
0.781 0.035 0.506
0.784 0.762 0.979
0.820 0.636 0.222
0.882 0.099 0.904
0.921 0.534 0.667
```

[3]
The following is a calculated powder diffractogram of Sb8I2O11. It was derived from a structure optimized by DFT (GGA-PBE), using λ = 1.5418 Å (Cu Kα).

The 8 most intense peaks (2θ from 15° to 90°), in order of rising 2θ:
2θ = 26.12°, intensity 100, (1 0 -2)
2θ = 27.46°, intensity 96, (1 -1 2)
2θ = 28.14°, intensity 71, (0 3 -2)
2θ = 29.16°, intensity 68, (0 2 2)
2θ = 31.08°, intensity 45, (1 2 0)
2θ = 32.10°, intensity 60, (1 -3 0)
2θ = 33.18°, intensity 33, (0 1 -4)
2θ = 42.83°, intensity 38, (2 -1 0)

Structure:
```
Sb8I2O11
1.0
4.231 0.000 0.000
-1.647 10.009 0.000
-0.561 -3.292 10.292
Sb I O
8 2 11
Direct
0.000 0.000 0.000
0.052 0.011 0.556
0.203 0.382 0.587
0.267 0.464 0.075
0.341 0.822 0.226
0.600 0.169 0.248
0.743 0.518 0.412
0.817 0.630 0.919
0.338 0.779 0.702
0.587 0.188 0.771
0.068 0.143 0.177
0.097 0.881 0.379
0.105 0.173 0.486
0.204 0.451 0.430
0.299 0.628 0.237
0.301 0.606 0.968
0.511 0.040 0.057
0.654 0.365 0.237
0.696 0.396 0.534
0.768 0.511 0.039
0.955 0.821 0.073
```

[4]
The following is a calculated powder diffractogram of Sb5IO7. It was derived from a structure optimized by DFT (GGA-PBE), using λ = 1.5418 Å (Cu Kα).

The 8 most intense peaks (2θ from 15° to 90°), in order of rising 2θ:
2θ = 25.36°, intensity 29, (1 0 3)
2θ = 25.64°, intensity 25, (1 1 0)
2θ = 27.49°, intensity 13, (0 0 4)
2θ = 29.16°, intensity 100, (1 1 2)
2θ = 37.95°, intensity 16, (1 1 4)
2θ = 45.21°, intensity 21, (3 0 0)
2θ = 53.73°, intensity 16, (3 0 4)
2θ = 54.71°, intensity 14, (2 2 2)

Structure:
```
Sb5IO7
1.0
6.947 0.000 0.000
-3.474 6.017 0.000
0.000 0.000 12.977
Sb I O
10 2 14
Direct
0.039 0.360 0.250
0.321 0.961 0.250
0.333 0.667 0.554
0.333 0.667 0.946
0.360 0.039 0.750
0.640 0.679 0.250
0.667 0.333 0.054
0.667 0.333 0.446
0.679 0.640 0.750
0.961 0.321 0.750
0.000 0.000 0.000
0.000 0.000 0.500
0.057 0.550 0.640
0.057 0.550 0.860
0.333 0.667 0.250
0.450 0.507 0.640
0.450 0.507 0.860
0.493 0.943 0.640
0.493 0.943 0.860
0.507 0.450 0.140
0.507 0.450 0.360
0.550 0.057 0.140
0.550 0.057 0.360
0.667 0.333 0.750
0.943 0.493 0.140
0.943 0.493 0.360
```

[5]
The following is a calculated powder diffractogram of Sb5IO7. It was derived from a structure optimized by DFT (GGA-PBE), using λ = 1.5418 Å (Cu Kα).

The 8 most intense peaks (2θ from 15° to 90°), in order of rising 2θ:
2θ = 25.33°, intensity 29, (1 3 1)
2θ = 25.84°, intensity 26, (0 0 2)
2θ = 27.34°, intensity 14, (0 4 0)
2θ = 29.29°, intensity 100, (3 2 1)
2θ = 37.97°, intensity 15, (0 4 2)
2θ = 45.50°, intensity 13, (3 0 3)
2θ = 53.90°, intensity 9, (3 4 3)
2θ = 55.16°, intensity 9, (6 2 2)

Structure:
```
Sb5IO7
1.0
11.916 0.000 0.000
0.000 13.049 0.000
0.000 0.000 6.914
Sb I O
20 4 28
Direct
0.016 0.244 0.000
0.161 0.231 0.536
0.167 0.550 0.835
0.170 0.941 0.846
0.181 0.755 0.479
0.319 0.255 0.979
0.330 0.441 0.346
0.333 0.050 0.335
0.339 0.731 0.036
0.484 0.744 0.500
0.516 0.256 0.500
0.661 0.269 0.036
0.667 0.950 0.335
0.670 0.559 0.346
0.681 0.745 0.979
0.819 0.245 0.479
0.830 0.059 0.846
0.833 0.450 0.835
0.839 0.769 0.536
0.984 0.756 0.000
0.000 0.000 0.296
0.000 0.500 0.382
0.500 0.000 0.882
0.500 0.500 0.796
0.027 0.634 0.849
0.030 0.857 0.796
0.166 0.245 0.841
0.210 0.829 0.036
0.238 0.613 0.073
0.247 0.874 0.616
0.248 0.660 0.672
0.252 0.160 0.172
0.253 0.374 0.116
0.262 0.113 0.573
0.290 0.329 0.536
0.334 0.745 0.341
0.470 0.357 0.296
0.473 0.134 0.349
0.527 0.866 0.349
0.530 0.643 0.296
0.666 0.255 0.341
0.710 0.671 0.536
0.738 0.887 0.573
0.747 0.626 0.116
0.748 0.840 0.172
0.752 0.340 0.672
0.753 0.126 0.616
0.762 0.387 0.073
0.790 0.171 0.036
0.834 0.755 0.841
0.970 0.143 0.796
0.973 0.366 0.849
```